Diffraction record for Dy4NiSn8. The powder diffraction line list is computed, not measured: it uses a PBE-relaxed structure and Cu Kα.
Neutral-atom scattering factors, no anomalous dispersion.

Principal peaks in the range 10° ≤ 2θ ≤ 80°, low angle first:
2θ/deg, d [Å], Rel. int.
31.8, 2.815, 17.7
32.9, 2.725, 100.0
40.9, 2.206, 17.6
41.1, 2.199, 17.5
52.7, 1.736, 8.7
59.3, 1.557, 12.0
69.4, 1.354, 12.1
69.6, 1.350, 12.0

Lattice parameters (Å, degrees): 4.3971 4.4118 16.8890 90.00 90.00 90.00
Element x y z (fractional)
1 Dy 0.0000 0.0000 0.0000
2 Dy 0.0000 0.5000 0.4904
3 Dy 0.5000 0.0000 0.7931
4 Dy 0.5000 0.5000 0.2964
5 Ni 0.0000 0.5000 0.7060
6 Sn 0.0000 0.0000 0.3306
7 Sn 0.0000 0.0000 0.6308
8 Sn 0.0000 0.5000 0.1443
9 Sn 0.0000 0.5000 0.8529
10 Sn 0.5000 0.0000 0.1518
11 Sn 0.5000 0.0000 0.4533
12 Sn 0.5000 0.5000 0.6306
13 Sn 0.5000 0.5000 0.9727

Diffraction record for Eu3Ga2. The powder diffraction line list is computed, not measured: it uses a PBE-relaxed structure and Cu Kα.
Neutral-atom scattering factors, no anomalous dispersion.

Principal peaks in the range 10° ≤ 2θ ≤ 80°, low angle first:
2θ/deg, d [Å], Rel. int.
25.7, 3.466, 33.5
29.6, 3.014, 30.8
30.7, 2.910, 100.0
33.3, 2.694, 51.8
33.6, 2.671, 19.2
34.0, 2.640, 23.5
34.9, 2.568, 20.5
36.0, 2.492, 25.9

Lattice parameters (Å, degrees): 5.9815 5.9815 8.5368 103.15 103.15 88.92
Element x y z (fractional)
1 Eu 0.1753 0.8247 0.7500
2 Eu 0.2559 0.3360 0.0304
3 Eu 0.3360 0.2559 0.5304
4 Eu 0.6640 0.7441 0.4696
5 Eu 0.7441 0.6640 0.9696
6 Eu 0.8247 0.1753 0.2500
7 Ga 0.1163 0.6938 0.3411
8 Ga 0.3062 0.8837 0.1589
9 Ga 0.6938 0.1163 0.8411
10 Ga 0.8837 0.3062 0.6589

Diffraction record for Dy3TmMn8. The powder diffraction line list is computed, not measured: it uses a PBE-relaxed structure and Cu Kα.
Neutral-atom scattering factors, no anomalous dispersion.

Principal peaks in the range 10° ≤ 2θ ≤ 80°, low angle first:
2θ/deg, d [Å], Rel. int.
20.5, 4.342, 28.7
33.3, 2.688, 73.2
35.5, 2.525, 61.5
39.4, 2.286, 50.4
40.4, 2.233, 100.0
42.3, 2.137, 38.5
61.0, 1.519, 25.9
64.4, 1.447, 24.4

Lattice parameters (Å, degrees): 8.5960 8.5960 8.5960 36.45 36.45 36.45
Element x y z (fractional)
1 Dy 0.0000 0.0000 0.0000
2 Dy 0.1270 0.1270 0.1270
3 Dy 0.5003 0.5003 0.5003
4 Tm 0.6270 0.6270 0.6270
5 Mn 0.0622 0.5638 0.5638
6 Mn 0.0641 0.0641 0.5643
7 Mn 0.0641 0.5643 0.0641
8 Mn 0.3136 0.3136 0.3136
9 Mn 0.5638 0.0622 0.5638
10 Mn 0.5643 0.0641 0.0641
11 Mn 0.5638 0.5638 0.0622
12 Mn 0.8137 0.8137 0.8137